(1)
# Pm6GaHg5
Theoretical X-ray powder pattern, Cu Kα X-rays. Input: DFT lattice parameters and positions (GGA-PBE).
Lines closer than 0.1° are merged.

Structure:
Unit cell a=5.342 b=7.634 c=8.463 alpha=90.00 beta=108.47 gamma=90.00
Element x y z (fractional)
Pm (0.000, 0.242, 0.000)
Pm (0.000, 0.758, 0.000)
Pm (0.338, 0.246, 0.674)
Pm (0.338, 0.754, 0.674)
Pm (0.662, 0.246, 0.326)
Pm (0.662, 0.754, 0.326)
Ga (0.500, 0.000, 0.000)
Hg (0.167, 0.500, 0.336)
Hg (0.168, 0.000, 0.339)
Hg (0.500, 0.500, 0.000)
Hg (0.832, 0.000, 0.661)
Hg (0.833, 0.500, 0.664)

Peak list (6 most intense, 2θ = 10–80°, by angle)
2θ = 33.36°, rel. 1000
2θ = 33.52°, rel. 494
2θ = 48.14°, rel. 180
2θ = 59.51°, rel. 191
2θ = 59.81°, rel. 281
2θ = 70.06°, rel. 117


(2)
# Ba8GeS3Br4
Theoretical X-ray powder pattern, Cu Kα X-rays. Input: DFT lattice parameters and positions (GGA-PBE).
Lines closer than 0.1° are merged.

Structure:
Unit cell a=9.519 b=9.519 c=9.519 alpha=58.57 beta=58.57 gamma=58.57
Element x y z (fractional)
Ba (0.239, 0.239, 0.239)
Ba (0.240, 0.740, 0.740)
Ba (0.260, 0.260, 0.760)
Ba (0.260, 0.760, 0.260)
Ba (0.740, 0.240, 0.740)
Ba (0.740, 0.740, 0.240)
Ba (0.760, 0.260, 0.260)
Ba (0.761, 0.761, 0.761)
Ge (0.500, 0.500, 0.500)
S (0.000, 0.000, 0.500)
S (0.000, 0.500, 0.000)
S (0.500, 0.000, 0.000)
Br (0.000, 0.000, 0.000)
Br (0.000, 0.500, 0.500)
Br (0.500, 0.000, 0.500)
Br (0.500, 0.500, 0.000)

Peak list (6 most intense, 2θ = 10–80°, by angle)
2θ = 23.32°, rel. 170
2θ = 26.79°, rel. 1000
2θ = 37.82°, rel. 343
2θ = 38.68°, rel. 386
2θ = 47.68°, rel. 200
2θ = 63.00°, rel. 173